[1]
# Sm2InTe5
Calculated X-ray powder pattern, CuKα. Input: the PBE geometry in Alexandria.

Crystal structure
a = 6.272 Å, b = 15.004 Å, c = 13.803 Å
α = 90.00°, β = 90.00°, γ = 90.00°
Space group Cmcm (No. 63)
Symmetry-distinct sites (fractional):
Sm 0.000 0.172 0.071
In 0.000 0.192 0.750
Te 0.000 0.034 0.603
Te 0.000 0.297 0.250
Te 0.000 0.321 0.586

Most intense lines, 10 to 80 degrees two-theta, in order of rising 2θ:
| h k l | d/Å | 2θ (°) | I/Imax |
| --- | --- | --- | --- |
| 0 2 0 | 7.502 | 11.80 | 46 |
| 1 1 0 | 5.786 | 15.31 | 51 |
| 0 2 3 | 3.921 | 22.68 | 65 |
| 2 0 0 | 3.136 | 28.46 | 88 |
| 0 4 3 | 2.907 | 30.75 | 100 |
| 2 2 3 | 2.449 | 36.69 | 35 |
| 0 0 6 | 2.300 | 39.16 | 27 |
| 2 4 3 | 2.132 | 42.40 | 83 |
| 2 0 6 | 1.855 | 49.12 | 29 |
| 4 4 3 | 1.380 | 67.92 | 21 |

---

[2]
# InSn3Au6
Calculated X-ray powder pattern, CuKα. Input: the PBE geometry in Alexandria.

Crystal structure
a = 10.909 Å, b = 10.506 Å, c = 7.739 Å
α = 90.00°, β = 90.00°, γ = 90.00°
Space group Cmc2_1 (No. 36)
Symmetry-distinct sites (fractional):
In 0.000 0.204 0.000
Sn 0.000 0.491 0.377
Sn 0.160 0.127 0.417
Au 0.000 0.025 0.713
Au 0.000 0.291 0.646
Au 0.179 0.343 0.203
Au 0.236 0.404 0.570

Most intense lines, 10 to 80 degrees two-theta, in order of rising 2θ:
| h k l | d/Å | 2θ (°) | I/Imax |
| --- | --- | --- | --- |
| 3 1 1 | 3.141 | 28.42 | 82 |
| 2 2 2 | 2.705 | 33.11 | 39 |
| 3 1 2 | 2.569 | 34.92 | 56 |
| 1 3 2 | 2.526 | 35.54 | 74 |
| 2 4 0 | 2.366 | 38.03 | 62 |
| 0 2 3 | 2.313 | 38.94 | 100 |
| 2 4 1 | 2.263 | 39.84 | 61 |
| 2 2 3 | 2.132 | 42.40 | 34 |
| 3 1 3 | 2.063 | 43.89 | 30 |
| 5 3 2 | 1.670 | 54.97 | 28 |

---

[3]
# Sm2TmCd5
Calculated X-ray powder pattern, CuKα. Input: the PBE geometry in Alexandria.

Crystal structure
a = 5.133 Å, b = 5.133 Å, c = 15.289 Å
α = 90.00°, β = 90.00°, γ = 90.00°
Space group I4/mmm (No. 139)
Symmetry-distinct sites (fractional):
Sm 0.000 0.000 0.239
Tm 0.000 0.000 0.500
Cd 0.000 0.000 0.000
Cd 0.000 0.500 0.115

Most intense lines, 10 to 80 degrees two-theta, in order of rising 2θ:
| h k l | d/Å | 2θ (°) | I/Imax |
| --- | --- | --- | --- |
| 1 1 0 | 3.621 | 24.58 | 4 |
| 1 1 4 | 2.632 | 34.06 | 100 |
| 2 0 0 | 2.566 | 34.96 | 49 |
| 0 0 8 | 1.911 | 47.58 | 8 |
| 2 2 0 | 1.815 | 50.28 | 17 |
| 2 0 8 | 1.533 | 60.39 | 16 |
| 3 1 4 | 1.494 | 62.13 | 34 |
| 2 2 8 | 1.316 | 71.72 | 9 |
| 4 0 0 | 1.283 | 73.85 | 5 |
| 1 1 12 | 1.202 | 79.78 | 5 |

---

[4]
# Pr2NbMoN5
Calculated X-ray powder pattern, CuKα. Input: the PBE geometry in Alexandria.

Crystal structure
a = 3.389 Å, b = 13.574 Å, c = 10.626 Å
α = 90.00°, β = 90.00°, γ = 90.00°
Space group Cmc2_1 (No. 36)
Symmetry-distinct sites (fractional):
Pr 0.000 0.110 0.000
Pr 0.000 0.146 0.604
Nb 0.000 0.221 0.320
Mo 0.000 0.472 0.769
N 0.000 0.047 0.356
N 0.000 0.283 0.952
N 0.000 0.319 0.691
N 0.000 0.366 0.309
N 0.000 0.491 0.098

Most intense lines, 10 to 80 degrees two-theta, in order of rising 2θ:
| h k l | d/Å | 2θ (°) | I/Imax |
| --- | --- | --- | --- |
| 0 2 3 | 3.140 | 28.42 | 93 |
| 0 4 2 | 2.860 | 31.28 | 95 |
| 1 1 2 | 2.796 | 32.01 | 93 |
| 1 3 0 | 2.712 | 33.02 | 78 |
| 1 3 1 | 2.628 | 34.11 | 44 |
| 1 1 3 | 2.410 | 37.31 | 100 |
| 0 6 1 | 2.213 | 40.78 | 35 |
| 2 0 0 | 1.695 | 54.11 | 32 |
| 1 3 5 | 1.673 | 54.87 | 34 |
| 2 4 2 | 1.458 | 63.85 | 25 |